KMgSiW: calculated X-ray diffraction stick pattern (Cu Kα, 1.54184 Å), based on a crystal structure in Alexandria, relaxed with GGA-PBE.
Lines closer than 0.1° are merged.

Top 6 peaks for 2θ = 15–90°, by angle:
2θ = 20.38°, 4.358 Å, rel. 65, hkl 0 0 2
2θ = 23.40°, 3.802 Å, rel. 100, hkl 0 1 1
2θ = 29.44°, 3.034 Å, rel. 40, hkl 0 1 2
2θ = 30.77°, 2.905 Å, rel. 55, hkl 0 0 3
2θ = 39.71°, 2.270 Å, rel. 44, hkl 1 1 -1
2θ = 39.84°, 2.262 Å, rel. 45, hkl 1 1 1

Cell and atoms:
```
data_KMgSiW
_chemical_formula_sum 'K1 Mg1 Si1 W1'
_cell_length_a 2.822
_cell_length_b 4.226
_cell_length_c 8.716
_cell_angle_alpha 90.00
_cell_angle_beta 90.46
_cell_angle_gamma 90.00
_space_group_name_H-M_alt 'P 1 m 1'
_space_group_IT_number 6
loop_
_space_group_symop_operation_xyz
'x,y,z'
'x,-y,z'
loop_
_atom_site_label
_atom_site_type_symbol
_atom_site_fract_x
_atom_site_fract_y
_atom_site_fract_z
_atom_site_occupancy
K1 K 0.000 0.000 0.000 1
Mg1 Mg 0.489 0.500 0.373 1
Si1 Si 0.497 0.000 0.647 1
W1 W 0.997 0.500 0.654 1
```